# 1
Computed powder diffractogram of TbNd4Hg4 for copper Kα, from the GGA-PBE geometry in Alexandria.

The 10 most intense peaks (10 to 90 degrees two-theta), sorted by position:
two_theta, I/Imax
25.9, 26
29.4, 100
30.5, 62
31.9, 81
32.5, 51
33.3, 23
37.1, 83
37.6, 88
54.9, 23
57.6, 33

Cell: 9.6203 9.6203 5.7555 Å, 90.00 90.00 90.00°
Atoms (fractional coordinates):
Tb 0.2500 0.2500 0.2500
Tb 0.7500 0.7500 0.7500
Nd 0.0918 0.8373 0.6420
Nd 0.1627 0.5918 0.1420
Nd 0.3373 0.9082 0.1420
Nd 0.4082 0.6627 0.6420
Nd 0.5918 0.3373 0.3580
Nd 0.6627 0.0918 0.8580
Nd 0.8373 0.4082 0.8580
Nd 0.9082 0.1627 0.3580
Hg 0.0512 0.1477 0.8613
Hg 0.1477 0.4488 0.6387
Hg 0.3523 0.0512 0.6387
Hg 0.4488 0.3523 0.8613
Hg 0.5512 0.6477 0.1387
Hg 0.6477 0.9488 0.3613
Hg 0.8523 0.5512 0.3613
Hg 0.9488 0.8523 0.1387



# 2
Computed powder diffractogram of Li2Mg6Au for copper Kα, from the GGA-PBE geometry in Alexandria.

The 10 most intense peaks (10 to 90 degrees two-theta), sorted by position:
two_theta, I/Imax
14.2, 100
20.2, 61
21.5, 87
29.6, 50
32.2, 37
36.1, 79
41.7, 41
46.8, 28
50.9, 21
55.8, 24

Cell: 8.8014 8.8014 4.6907 Å, 90.00 90.00 90.00°
Atoms (fractional coordinates):
Li 0.1957 0.1957 0.0000
Li 0.3043 0.6957 0.5000
Li 0.6957 0.3043 0.5000
Li 0.8043 0.8043 0.0000
Mg 0.0277 0.3221 0.5000
Mg 0.1259 0.8741 0.0000
Mg 0.1779 0.5277 0.0000
Mg 0.3221 0.0277 0.5000
Mg 0.3741 0.3741 0.5000
Mg 0.4723 0.8221 0.0000
Mg 0.5277 0.1779 0.0000
Mg 0.6259 0.6259 0.5000
Mg 0.6779 0.9723 0.5000
Mg 0.8221 0.4723 0.0000
Mg 0.8741 0.1259 0.0000
Mg 0.9723 0.6779 0.5000
Au 0.0000 0.0000 0.5000
Au 0.5000 0.5000 0.0000



# 3
Computed powder diffractogram of HfPbI2 for copper Kα, from the GGA-PBE geometry in Alexandria.

The 10 most intense peaks (10 to 90 degrees two-theta), sorted by position:
two_theta, I/Imax
17.4, 86
24.7, 100
27.6, 24
33.0, 71
35.1, 39
39.4, 73
41.6, 65
48.9, 27
55.6, 28
61.7, 24

Cell: 7.7963 7.7963 7.7963 Å, 98.13 98.13 135.81°
Atoms (fractional coordinates):
Hf 0.0000 0.0000 0.0000
Hf 0.7500 0.2500 0.5000
Pb 0.2500 0.7500 0.5000
Pb 0.5000 0.5000 0.0000
I 0.3750 0.2364 0.3614
I 0.7636 0.1250 0.1386
I 0.8750 0.0136 0.6386
I 0.9864 0.6250 0.8614



# 4
Computed powder diffractogram of Ag2BiC2O6 for copper Kα, from the GGA-PBE geometry in Alexandria.

The 10 most intense peaks (10 to 90 degrees two-theta), sorted by position:
two_theta, I/Imax
18.1, 100
25.1, 32
28.1, 60
30.1, 48
33.2, 99
37.8, 47
41.7, 59
43.5, 30
44.7, 23
52.2, 22

Cell: 5.0727 5.0727 6.0565 Å, 99.41 99.41 77.41°
Atoms (fractional coordinates):
Ag 0.1745 0.1745 0.0996
Ag 0.8255 0.8255 0.9004
Bi 0.0000 0.0000 0.5000
C 0.4534 0.4534 0.7299
C 0.5466 0.5466 0.2701
O 0.2826 0.6319 0.2513
O 0.2881 0.2881 0.7056
O 0.3681 0.7174 0.7487
O 0.6319 0.2826 0.2513
O 0.7119 0.7119 0.2944
O 0.7174 0.3681 0.7487



# 5
Computed powder diffractogram of Pt8Au for copper Kα, from the GGA-PBE geometry in Alexandria.

The 10 most intense peaks (10 to 90 degrees two-theta), sorted by position:
two_theta, I/Imax
38.9, 100
39.2, 98
45.0, 33
45.6, 64
66.1, 54
79.0, 13
79.2, 13
79.7, 26
80.2, 25
83.6, 12

Cell: 7.5100 7.5100 7.5100 Å, 158.53 111.27 72.94°
Atoms (fractional coordinates):
Pt 0.1643 0.8317 0.3326
Pt 0.1665 0.1665 0.0000
Pt 0.1661 0.5000 0.6661
Pt 0.4990 0.8317 0.6674
Pt 0.5010 0.1683 0.3326
Pt 0.8339 0.5000 0.3339
Pt 0.8335 0.8335 0.0000
Pt 0.8357 0.1683 0.6674
Au 0.5000 0.5000 0.0000



# 6
Computed powder diffractogram of HfGaBr2 for copper Kα, from the GGA-PBE geometry in Alexandria.

The 10 most intense peaks (10 to 90 degrees two-theta), sorted by position:
two_theta, I/Imax
17.2, 27
31.2, 100
33.9, 65
34.7, 19
38.6, 69
42.5, 83
54.4, 41
66.2, 18
68.6, 19
79.6, 20

Cell: 10.5101 10.5101 10.5101 Å, 18.46 18.46 18.46°
Atoms (fractional coordinates):
Hf 0.0000 0.0000 0.0000
Ga 0.5000 0.5000 0.5000
Br 0.3965 0.3965 0.3965
Br 0.6035 0.6035 0.6035



# 7
Computed powder diffractogram of Na3DyF8 for copper Kα, from the GGA-PBE geometry in Alexandria.

The 10 most intense peaks (10 to 90 degrees two-theta), sorted by position:
two_theta, I/Imax
15.5, 38
18.1, 100
23.2, 25
28.1, 93
28.7, 26
38.0, 25
44.3, 20
46.2, 61
47.5, 28
56.1, 26

Cell: 6.8701 6.8701 6.8701 Å, 133.57 133.57 67.76°
Atoms (fractional coordinates):
Na 0.0000 0.0000 0.0000
Na 0.2500 0.7500 0.5000
Na 0.7500 0.2500 0.5000
Dy 0.5000 0.5000 0.0000
F 0.1421 0.1421 0.5218
F 0.1421 0.6204 0.0000
F 0.3796 0.3796 0.5218
F 0.3796 0.8579 0.0000
F 0.6204 0.1421 0.0000
F 0.6204 0.6204 0.4782
F 0.8579 0.3796 0.0000
F 0.8579 0.8579 0.4782



# 8
Computed powder diffractogram of La4Zn3Ru for copper Kα, from the GGA-PBE geometry in Alexandria.

The 10 most intense peaks (10 to 90 degrees two-theta), sorted by position:
two_theta, I/Imax
24.1, 9
34.1, 100
34.3, 50
48.7, 9
49.4, 18
61.0, 17
61.4, 36
71.9, 11
82.5, 8
82.6, 8

Cell: 8.3358 8.3358 5.2224 Å, 108.18 108.18 36.51°
Atoms (fractional coordinates):
La 0.1190 0.1190 0.1191
La 0.3810 0.3810 0.3796
La 0.6190 0.6190 0.6204
La 0.8810 0.8810 0.8809
Zn 0.0000 0.0000 0.5000
Zn 0.2469 0.2469 0.7462
Zn 0.7531 0.7531 0.2538
Ru 0.5000 0.5000 0.0000



# 9
Computed powder diffractogram of AcTbAsS for copper Kα, from the GGA-PBE geometry in Alexandria.

The 10 most intense peaks (10 to 90 degrees two-theta), sorted by position:
two_theta, I/Imax
24.0, 25
25.2, 49
26.1, 57
32.1, 100
37.8, 53
43.7, 53
50.5, 22
55.2, 22
67.9, 26
73.0, 23

Cell: 7.7896 7.7896 7.7896 Å, 30.83 30.83 30.83°
Atoms (fractional coordinates):
Ac 0.0000 0.0000 0.0000
Tb 0.8258 0.8258 0.8258
As 0.4201 0.4201 0.4201
S 0.5744 0.5744 0.5744



# 10
Computed powder diffractogram of Y3Hg4 for copper Kα, from the GGA-PBE geometry in Alexandria.

The 10 most intense peaks (10 to 90 degrees two-theta), sorted by position:
two_theta, I/Imax
24.3, 57
34.2, 100
35.2, 94
49.9, 36
55.6, 14
60.6, 19
62.5, 36
63.2, 17
82.8, 16
84.5, 16

Cell: 9.1777 9.1777 9.1777 Å, 32.26 32.26 32.26°
Atoms (fractional coordinates):
Y 0.0000 0.0000 0.0000
Y 0.2441 0.2441 0.2441
Y 0.7559 0.7559 0.7559
Hg 0.1262 0.1262 0.1262
Hg 0.3753 0.3753 0.3753
Hg 0.6247 0.6247 0.6247
Hg 0.8738 0.8738 0.8738



# 11
Computed powder diffractogram of Ca3Al5 for copper Kα, from the GGA-PBE geometry in Alexandria.

The 10 most intense peaks (10 to 90 degrees two-theta), sorted by position:
two_theta, I/Imax
26.5, 78
27.2, 57
27.9, 65
28.4, 85
29.3, 100
33.9, 58
34.5, 72
36.6, 66
36.8, 56
38.3, 80

Cell: 9.0129 9.0129 7.9759 Å, 98.56 98.56 135.38°
Atoms (fractional coordinates):
Ca 0.0000 0.0000 0.0000
Ca 0.2309 0.8653 0.6696
Ca 0.3790 0.8942 0.1627
Ca 0.7129 0.7129 0.3473
Ca 0.8653 0.2309 0.6696
Ca 0.8942 0.3790 0.1627
Al 0.0888 0.2463 0.3944
Al 0.1413 0.1413 0.6806
Al 0.2463 0.0888 0.3944
Al 0.3396 0.5023 0.9705
Al 0.3780 0.6826 0.4790
Al 0.5023 0.3396 0.9705
Al 0.5291 0.5291 0.6724
Al 0.5392 0.8346 0.8434
Al 0.6826 0.3780 0.4790
Al 0.8346 0.5392 0.8434



# 12
Computed powder diffractogram of RbNiPtBr6 for copper Kα, from the GGA-PBE geometry in Alexandria.

The 10 most intense peaks (10 to 90 degrees two-theta), sorted by position:
two_theta, I/Imax
11.3, 100
18.6, 34
19.1, 31
19.3, 29
28.1, 20
29.4, 30
34.2, 38
35.7, 60
46.4, 26
53.9, 16

Cell: 6.6343 6.6343 7.8559 Å, 90.95 90.95 117.82°
Atoms (fractional coordinates):
Rb 0.0000 0.0000 0.0000
Ni 0.6667 0.3333 0.5000
Pt 0.3303 0.6697 0.5000
Br 0.3606 0.0035 0.6737
Br 0.3632 0.3743 0.3187
Br 0.6257 0.6368 0.6813
Br 0.6367 0.0230 0.3009
Br 0.9770 0.3633 0.6991
Br 0.9965 0.6394 0.3263